The following is a theoretical powder XRD pattern of Ge2AsSe. It was derived from DFT lattice parameters and positions (GGA-PBE), using Cu Kα (weighted mean of Kα1 and Kα2).

Crystal structure
a b c (Å): 3.7889 3.7889 22.5946
angles (deg): 90.00 90.00 120.00
Element x y z (fractional)
Ge 0.0000 0.0000 0.0000
Ge 0.0000 0.0000 0.1849
Ge 0.3333 0.6667 0.6667
Ge 0.3333 0.6667 0.8515
Ge 0.6667 0.3333 0.3333
Ge 0.6667 0.3333 0.5182
As 0.0000 0.0000 0.5740
As 0.3333 0.6667 0.2407
As 0.6667 0.3333 0.9073
Se 0.0000 0.0000 0.3966
Se 0.3333 0.6667 0.0632
Se 0.6667 0.3333 0.7299

The 10 most intense peaks (2θ from 5° to 70°), by intensity:
2θ/deg, Rel. int.
33.8, 100.0
48.0, 40.5
48.9, 24.7
28.3, 18.7
60.0, 18.5
23.6, 16.5
39.1, 16.3
27.5, 15.3
54.2, 9.9
52.6, 8.6

The following is a theoretical powder XRD pattern of KAg2Br4. It was derived from DFT lattice parameters and positions (GGA-PBE), using Cu Kα (weighted mean of Kα1 and Kα2).

Crystal structure
a b c (Å): 8.5229 8.5229 8.5229
angles (deg): 120.99 104.08 104.00
Element x y z (fractional)
K 0.2500 0.3751 0.1251
K 0.7500 0.1249 0.3749
Ag 0.0857 0.8357 0.2500
Ag 0.4143 0.6643 0.7500
Ag 0.5857 0.2500 0.8357
Ag 0.9143 0.7500 0.6643
Br 0.0316 0.0101 0.5852
Br 0.0746 0.5212 0.4895
Br 0.4254 0.9149 0.4466
Br 0.4684 0.0536 0.9785
Br 0.5317 0.5851 0.0105
Br 0.5751 0.4899 0.5215
Br 0.9249 0.4464 0.9148
Br 0.9683 0.9788 0.0534

The 10 most intense peaks (2θ from 5° to 70°), by intensity:
2θ/deg, Rel. int.
24.0, 100.0
21.7, 88.5
33.1, 60.3
13.5, 57.1
27.6, 57.1
47.9, 52.6
24.4, 46.4
42.4, 44.7
32.6, 39.2
44.5, 38.8

The following is a theoretical powder XRD pattern of Cs4SrCl6. It was derived from DFT lattice parameters and positions (GGA-PBE), using Cu Kα (weighted mean of Kα1 and Kα2).

Crystal structure
a b c (Å): 9.6074 9.6074 9.6074
angles (deg): 89.02 89.02 89.02
Element x y z (fractional)
Cs 0.1182 0.7500 0.3818
Cs 0.2500 0.2500 0.2500
Cs 0.2500 0.6182 0.8818
Cs 0.3818 0.1182 0.7500
Cs 0.6182 0.8818 0.2500
Cs 0.7500 0.3818 0.1182
Cs 0.7500 0.7500 0.7500
Cs 0.8818 0.2500 0.6182
Sr 0.0000 0.0000 0.0000
Sr 0.5000 0.5000 0.5000
Cl 0.0615 0.9248 0.7131
Cl 0.0752 0.2869 0.9385
Cl 0.2131 0.4248 0.5615
Cl 0.2869 0.9385 0.0752
Cl 0.4248 0.5615 0.2131
Cl 0.4385 0.7869 0.5752
Cl 0.5615 0.2131 0.4248
Cl 0.5752 0.4385 0.7869
Cl 0.7131 0.0615 0.9248
Cl 0.7869 0.5752 0.4385
Cl 0.9248 0.7131 0.0615
Cl 0.9385 0.0752 0.2869

The 10 most intense peaks (2θ from 5° to 70°), by intensity:
2θ/deg, Rel. int.
22.9, 100.0
30.9, 82.1
20.5, 74.0
29.3, 45.0
39.9, 36.1
26.0, 32.2
28.1, 31.3
40.1, 24.1
31.7, 23.5
59.6, 23.0

The following is a theoretical powder XRD pattern of La2ZrCu. It was derived from DFT lattice parameters and positions (GGA-PBE), using Cu Kα (weighted mean of Kα1 and Kα2).

Crystal structure
a b c (Å): 3.4647 5.3494 5.7178
angles (deg): 90.00 90.16 90.00
Element x y z (fractional)
La 0.0000 0.0000 0.0000
La 0.0099 0.5000 0.5718
Zr 0.5047 0.5000 0.1119
Cu 0.5061 0.0000 0.4373

The 10 most intense peaks (2θ from 5° to 70°), by intensity:
2θ/deg, Rel. int.
34.6, 100.0
33.5, 31.5
31.3, 20.7
35.6, 19.4
60.6, 19.2
22.8, 14.1
46.5, 13.7
30.2, 9.5
64.0, 9.3
52.8, 8.4

The following is a theoretical powder XRD pattern of DySc3Te. It was derived from DFT lattice parameters and positions (GGA-PBE), using Cu Kα (weighted mean of Kα1 and Kα2).

Crystal structure
a b c (Å): 9.9975 3.7278 13.7156
angles (deg): 90.00 90.00 90.00
Element x y z (fractional)
Dy 0.1597 0.2500 0.0220
Dy 0.3403 0.7500 0.5220
Dy 0.6597 0.2500 0.4780
Dy 0.8403 0.7500 0.9780
Sc 0.0856 0.2500 0.4228
Sc 0.1085 0.7500 0.2335
Sc 0.1428 0.7500 0.8140
Sc 0.3572 0.2500 0.3140
Sc 0.3915 0.2500 0.7335
Sc 0.4144 0.7500 0.9228
Sc 0.5856 0.2500 0.0772
Sc 0.6085 0.7500 0.2665
Sc 0.6428 0.7500 0.6860
Sc 0.8572 0.2500 0.1860
Sc 0.8915 0.2500 0.7665
Sc 0.9144 0.7500 0.5772
Te 0.1316 0.2500 0.6377
Te 0.3684 0.7500 0.1377
Te 0.6316 0.2500 0.8623
Te 0.8684 0.7500 0.3623

The 10 most intense peaks (2θ from 5° to 70°), by intensity:
2θ/deg, Rel. int.
32.3, 100.0
32.7, 77.9
29.9, 52.4
37.4, 48.4
15.7, 37.4
35.9, 35.5
38.5, 28.3
21.4, 28.2
33.3, 27.1
55.9, 26.8